For SrCa2I6, DFT lattice parameters and positions (GGA-PBE) gives the computed PXRD pattern in this record (Cu Kα (λ = 1.5418 Å)).
Lines closer than 0.1° are merged.

```
data_SrCa2I6
_chemical_formula_sum 'Sr4 Ca8 I24'
_symmetry_space_group_name_H-M 'C 1 2/c 1'
_symmetry_Int_Tables_number 15
_cell_length_a 8.613
_cell_length_b 14.705
_cell_length_c 11.870
_cell_angle_alpha 90.00
_cell_angle_beta 94.56
_cell_angle_gamma 90.00
loop_
_symmetry_equiv_pos_as_xyz
'x,y,z'
'-x,-y,-z'
'-x,y,-z+1/2'
'x,-y,z+1/2'
'x+1/2,y+1/2,z'
'-x+1/2,-y+1/2,-z'
'-x+1/2,y+1/2,-z+1/2'
'x+1/2,-y+1/2,z+1/2'
loop_
_atom_site_label
_atom_site_type_symbol
_atom_site_fract_x
_atom_site_fract_y
_atom_site_fract_z
Sr1 Sr 0.000 0.019 0.250
Ca1 Ca 0.061 0.354 0.565
I1 I 0.108 0.136 0.537
I2 I 0.152 0.444 0.129
I3 I 0.240 0.321 0.805
```

Top 6 peaks for 10° ≤ 2θ ≤ 80°, by angle:
d/Å  2θ (°)  I/Imax  index
3.613  24.64  56.9  2 0 -2
3.518  25.32  100.0  1 3 -2
3.472  25.66  68.6  2 2 1
3.387  26.31  57.6  1 1 3
2.749  32.57  29.7  2 4 -1
2.691  33.30  48.3  1 5 1